No. 1
# Sr3MgTi2O7
Computed powder diffraction line list, a wavelength of 1.5418 Å. Input: a DFT-relaxed cell (PBE, the Materials Project).
Lines closer than 0.1° are merged.

Most intense lines, 10° ≤ 2θ ≤ 90°, sorted by position:
d_spacing, I_rel, (hkl)
3.879, 166, 1 0 1
3.513, 152, 1 0 3
3.013, 373, 1 0 5
2.781, 585, 1 1 0
2.549, 1000, 1 0 7
2.265, 449, 1 1 6
1.966, 500, 2 0 0
1.953, 146, 0 0 12
1.557, 410, 2 1 7
1.386, 178, 2 0 12

Atomic structure:
Unit cell a=3.9329 b=3.9329 c=23.4302 alpha=90.00 beta=90.00 gamma=90.00
Space group I-4m2 (No. 119)
Unique sites:
Sr 0.0000 0.0000 0.0000 [2 per cell]
Sr 0.0000 0.0000 0.1572 [4 per cell]
Mg 0.0000 0.5000 0.7500 [2 per cell]
Ti 0.0000 0.0000 0.4176 [4 per cell]
O 0.0000 0.0000 0.2911 [4 per cell]
O 0.0000 0.0000 0.5000 [2 per cell]
O 0.0000 0.5000 0.0892 [4 per cell]
O 0.0000 0.5000 0.5902 [4 per cell]



No. 2
# SbO2
Computed powder diffraction line list, a wavelength of 1.5418 Å. Input: a DFT-relaxed cell (PBE, the Materials Project).
Lines closer than 0.1° are merged.

Most intense lines, 10° ≤ 2θ ≤ 90°, sorted by position:
d_spacing, I_rel, (hkl)
5.252, 329, 0 1 1
3.825, 566, 1 1 1
3.234, 1000, 1 2 1
3.032, 194, 0 0 2
2.663, 187, 1 3 1
2.624, 216, 0 4 0
2.583, 161, 1 1 2
2.464, 235, 2 2 0
2.120, 180, 1 3 2
1.984, 205, 0 4 2

Atomic structure:
Unit cell a=5.5814 b=10.4912 c=6.0662 alpha=90.00 beta=90.00 gamma=90.00
Space group Pnna (No. 52)
Unique sites:
Sb 0.0978 0.2500 0.2500 [4 per cell]
Sb 0.2500 0.0000 0.6541 [4 per cell]
O 0.0209 0.6160 0.0444 [8 per cell]
O 0.1429 0.6224 0.6224 [8 per cell]



No. 3
# ScCu3PbSe4
Computed powder diffraction line list, a wavelength of 1.5418 Å. Input: a DFT-relaxed cell (PBE, the Materials Project).
Lines closer than 0.1° are merged.

Most intense lines, 10° ≤ 2θ ≤ 90°, sorted by position:
d_spacing, I_rel, (hkl)
4.342, 348, 1 1 0
3.545, 1000, 1 1 1
2.507, 182, 2 1 1
2.171, 972, 2 2 0
1.851, 464, 3 1 1
1.641, 116, 3 2 1
1.535, 152, 4 0 0
1.409, 177, 3 3 1
1.253, 295, 4 2 2
1.182, 131, 3 3 3

Atomic structure:
Unit cell a=6.1405 b=6.1405 c=6.1405 alpha=90.00 beta=90.00 gamma=90.00
Space group P-43m (No. 215)
Unique sites:
Sc 0.0000 0.0000 0.0000 [1 per cell]
Cu 0.0000 0.0000 0.5000 [3 per cell]
Pb 0.5000 0.5000 0.5000 [1 per cell]
Se 0.2331 0.2331 0.2331 [4 per cell]



No. 4
# Er2NiAs2
Computed powder diffraction line list, a wavelength of 1.5418 Å. Input: a DFT-relaxed cell (PBE, the Materials Project).
Lines closer than 0.1° are merged.

Most intense lines, 10° ≤ 2θ ≤ 90°, sorted by position:
d_spacing, I_rel, (hkl)
3.445, 293, 1 0 1
2.829, 1000, 1 0 3
2.496, 557, 1 0 4
2.202, 257, 1 0 5
2.051, 685, 1 1 0
1.661, 206, 2 0 3
1.585, 136, 2 0 4
1.333, 288, 1 1 8
1.291, 178, 2 1 3
1.254, 123, 2 1 4

Atomic structure:
Unit cell a=4.1029 b=4.1029 c=14.0313 alpha=90.00 beta=90.00 gamma=120.00
Space group P6_3mc (No. 186)
Unique sites:
Er 0.3333 0.6667 0.0000 [2 per cell]
Er 0.3333 0.6667 0.2656 [2 per cell]
Ni 0.0000 0.0000 0.1460 [2 per cell]
As 0.0000 0.0000 0.3807 [2 per cell]
As 0.3333 0.6667 0.6303 [2 per cell]



No. 5
# Sr2LaI7
Computed powder diffraction line list, a wavelength of 1.5418 Å. Input: a DFT-relaxed cell (PBE, the Materials Project).
Lines closer than 0.1° are merged.

Most intense lines, 10° ≤ 2θ ≤ 90°, sorted by position:
d_spacing, I_rel, (hkl)
6.131, 394, 1 0 -2
3.982, 408, 1 3 1
3.643, 442, 0 1 4
3.468, 808, 2 2 -2
3.376, 694, 2 0 2
3.353, 1000, 0 2 4
3.245, 395, 1 4 1
3.188, 486, 2 3 -1
3.168, 610, 1 4 -2
2.566, 350, 1 5 2

Atomic structure:
Unit cell a=8.3923 b=14.8028 c=15.2873 alpha=90.00 beta=100.23 gamma=90.00
Space group P2_1 (No. 4)
Unique sites:
Sr 0.1213 0.0000 0.2444 [2 per cell]
Sr 0.2502 0.7544 0.8282 [2 per cell]
Sr 0.2623 0.4240 0.3311 [2 per cell]
Sr 0.2777 0.1602 0.7505 [2 per cell]
La 0.3348 0.6974 0.4459 [2 per cell]
La 0.3481 0.4760 0.9445 [2 per cell]
I 0.0344 0.6042 0.9423 [2 per cell]
I 0.0378 0.5624 0.4385 [2 per cell]
I 0.0733 0.8467 0.3880 [2 per cell]
I 0.1044 0.2171 0.3122 [2 per cell]
I 0.1098 0.3165 0.8681 [2 per cell]
I 0.1107 0.9647 0.8082 [2 per cell]
I 0.2878 0.5474 0.7444 [2 per cell]
I 0.3232 0.6246 0.2439 [2 per cell]
I 0.3364 0.8965 0.1065 [2 per cell]
I 0.3884 0.3103 0.6136 [2 per cell]
I 0.3876 0.3758 0.1311 [2 per cell]
I 0.3920 0.7937 0.6355 [2 per cell]
I 0.4407 0.0317 0.5057 [2 per cell]
I 0.4754 0.1544 0.9865 [2 per cell]



No. 6
# Na3PrCl6
Computed powder diffraction line list, a wavelength of 1.5418 Å. Input: a DFT-relaxed cell (PBE, the Materials Project).
Lines closer than 0.1° are merged.

Most intense lines, 10° ≤ 2θ ≤ 90°, sorted by position:
d_spacing, I_rel, (hkl)
6.283, 636, 1 1 1
5.442, 1000, 2 0 0
3.848, 453, 2 2 0
3.281, 425, 3 1 1
2.721, 873, 4 0 0
2.434, 482, 4 2 0
2.222, 224, 4 2 2
1.924, 581, 4 4 0
1.814, 239, 6 0 0
1.217, 235, 8 4 0

Atomic structure:
Unit cell a=10.8833 b=10.8833 c=10.8833 alpha=90.00 beta=90.00 gamma=90.00
Space group Fm-3m (No. 225)
Unique sites:
Na 0.0000 0.0000 0.0000 [4 per cell]
Na 0.2500 0.2500 0.2500 [8 per cell]
Pr 0.0000 0.0000 0.5000 [4 per cell]
Cl 0.0000 0.0000 0.2490 [24 per cell]



No. 7
# TaN
Computed powder diffraction line list, a wavelength of 1.5418 Å. Input: a DFT-relaxed cell (PBE, the Materials Project).
Lines closer than 0.1° are merged.

Most intense lines, 10° ≤ 2θ ≤ 90°, sorted by position:
d_spacing, I_rel, (hkl)
2.617, 1000, 1 1 0
2.458, 766, 1 0 1
1.950, 123, 1 1 1
1.792, 342, 2 0 1
1.511, 217, 3 0 0
1.478, 333, 2 1 1
1.463, 68, 0 0 2
1.308, 124, 2 2 0
1.277, 222, 1 1 2
1.155, 144, 3 1 1

Atomic structure:
Unit cell a=5.2335 b=5.2335 c=2.9255 alpha=90.00 beta=90.00 gamma=120.00
Space group P-62m (No. 189)
Unique sites:
Ta 0.0000 0.0000 0.0000 [1 per cell]
Ta 0.3333 0.6667 0.5000 [2 per cell]
N 0.0000 0.3926 0.0000 [3 per cell]